Calculated powder diffraction line list
Compound: ScNb3
Radiation: CuKα
Structure: a PBE-relaxed structure

Top 10 peaks for 15 to 90 degrees two-theta, low angle first:
- 2θ = 18.78°, I 3
- 2θ = 23.99°, I 7
- 2θ = 36.81°, I 100
- 2θ = 38.08°, I 23
- 2θ = 44.95°, I 28
- 2θ = 60.34°, I 23
- 2θ = 65.45°, I 9
- 2θ = 67.98°, I 15
- 2θ = 77.51°, I 21
- 2θ = 78.31°, I 10

```
data_ScNb3
_chemical_formula_sum 'Sc2 Nb6'
_cell_length_a 4.034
_cell_length_b 4.034
_cell_length_c 9.452
_cell_angle_alpha 90.00
_cell_angle_beta 90.00
_cell_angle_gamma 90.00
_space_group_name_H-M_alt 'I 4/m m m'
_space_group_IT_number 139
_space_group_name_Hall '-I 4 2'
loop_
_atom_site_label
_atom_site_fract_x
_atom_site_fract_y
_atom_site_fract_z
Sc1 0.000 0.000 0.000
Nb1 0.000 0.000 0.500
Nb2 0.000 0.500 0.250
```